Entry 1:
Diffraction record for K2MgFe4O7. The powder XRD pattern is computed, not measured: it uses a crystal structure in the Materials Project, relaxed with GGA+U and Cu Kα, 1.54184 Å.
Neutral-atom scattering factors, no anomalous dispersion.

Cell and atoms:
Cell lengths 5.2320, 5.2320, 8.3785 Å; angles 90.11, 90.11, 119.82 degrees
Positions (direct):
K: 0.1679 0.8321 0.0000
K: 0.8321 0.1679 0.0000
Mg: 0.5020 0.5020 0.4996
Fe: 0.1708 0.8316 0.4998
Fe: 0.4699 0.4699 0.2236
Fe: 0.5307 0.5307 0.7760
Fe: 0.8316 0.1708 0.4998
O: 0.1653 0.1653 0.3619
O: 0.1709 0.5028 0.6373
O: 0.4993 0.8316 0.3621
O: 0.5028 0.1709 0.6373
O: 0.5066 0.5066 0.0001
O: 0.8316 0.4993 0.3621
O: 0.8369 0.8369 0.6378

Largest 10 diffraction maxima, sorted by position, 2θ from 10° to 80°:
10.56 deg, I = 54
21.21 deg, I = 17
29.00 deg, I = 68
29.06 deg, I = 28
34.25 deg, I = 100
40.64 deg, I = 34
47.63 deg, I = 18
56.20 deg, I = 20
56.32 deg, I = 30
61.26 deg, I = 20

---

Entry 2:
Diffraction record for KMgFeS2O8. The powder XRD pattern is computed, not measured: it uses a crystal structure in the Materials Project, relaxed with GGA+U and Cu Kα, 1.54184 Å.
Neutral-atom scattering factors, no anomalous dispersion.

Cell and atoms:
Cell lengths 5.2526, 5.2645, 7.5601 Å; angles 83.12, 83.19, 64.26 degrees
Positions (direct):
K: 0.0000 0.0000 0.0000
Mg: 0.6341 0.6317 0.2046
Fe: 0.9580 0.9588 0.5323
S: 0.3260 0.3284 0.3196
S: 0.5802 0.5801 0.7404
O: 0.2084 0.2090 0.4748
O: 0.2254 0.6496 0.3242
O: 0.2629 0.2699 0.1486
O: 0.2699 0.7069 0.7166
O: 0.6157 0.6138 0.9302
O: 0.6486 0.2261 0.3226
O: 0.7061 0.2708 0.7159
O: 0.7205 0.7207 0.6113

Largest 10 diffraction maxima, sorted by position, 2θ from 10° to 80°:
11.82 deg, I = 34
20.14 deg, I = 36
21.48 deg, I = 44
24.84 deg, I = 38
29.31 deg, I = 100
31.60 deg, I = 29
32.00 deg, I = 40
34.47 deg, I = 52
50.21 deg, I = 15
54.02 deg, I = 14

---

Entry 3:
Diffraction record for KMgFeS2O8. The powder XRD pattern is computed, not measured: it uses a crystal structure in the Materials Project, relaxed with GGA+U and Cu Kα, 1.54184 Å.
Neutral-atom scattering factors, no anomalous dispersion.

Cell and atoms:
Cell lengths 4.9681, 4.9711, 10.2625 Å; angles 77.78, 77.39, 65.19 degrees
Positions (direct):
K: 0.0000 0.0000 0.0000
Mg: 0.1988 0.1632 0.3039
Fe: 0.0856 0.0629 0.6323
S: 0.4916 0.4588 0.4403
S: 0.6883 0.6686 0.7852
O: 0.3489 0.3193 0.5582
O: 0.3601 0.8034 0.7764
O: 0.3692 0.7915 0.4422
O: 0.4401 0.4024 0.3121
O: 0.7315 0.7024 0.9174
O: 0.8060 0.3426 0.7736
O: 0.8246 0.3363 0.4427
O: 0.8415 0.8121 0.6686

Largest 10 diffraction maxima, sorted by position, 2θ from 10° to 80°:
20.63 deg, I = 100
21.96 deg, I = 74
22.90 deg, I = 39
23.02 deg, I = 39
24.81 deg, I = 35
24.94 deg, I = 38
31.22 deg, I = 48
31.39 deg, I = 45
33.47 deg, I = 50
36.30 deg, I = 57

---

Entry 4:
Diffraction record for K2MgFeSi8O24. The powder XRD pattern is computed, not measured: it uses a crystal structure in the Materials Project, relaxed with GGA+U and Cu Kα, 1.54184 Å.
Neutral-atom scattering factors, no anomalous dispersion.

Cell and atoms:
Cell lengths 5.2478, 9.1037, 10.9652 Å; angles 79.70, 82.51, 89.90 degrees
Positions (direct):
K: 0.0000 0.0000 0.0000
K: 0.5002 0.4972 0.9995
Mg: 0.3531 0.8875 0.5000
Fe: 0.8156 0.3949 0.4963
Si: 0.0371 0.3777 0.7706
Si: 0.0540 0.7123 0.7767
Si: 0.4482 0.7900 0.2218
Si: 0.4495 0.1184 0.2232
Si: 0.5460 0.2136 0.7727
Si: 0.5508 0.8757 0.7770
Si: 0.9502 0.6194 0.2199
Si: 0.9510 0.2912 0.2217
O: 0.0463 0.5310 0.8315
O: 0.0502 0.9653 0.3854
O: 0.0554 0.4058 0.6205
O: 0.1084 0.7486 0.6267
O: 0.2229 0.7114 0.1609
O: 0.2241 0.2244 0.1631
O: 0.2647 0.2719 0.8291
O: 0.2780 0.7862 0.8431
O: 0.4066 0.7651 0.3707
O: 0.4206 0.0818 0.3740
O: 0.4554 0.9696 0.1549
O: 0.5461 0.0331 0.8320
O: 0.5650 0.4509 0.3672
O: 0.5800 0.8994 0.6272
O: 0.5923 0.2450 0.6218
O: 0.6134 0.4907 0.6314
O: 0.7231 0.2104 0.1645
O: 0.7246 0.7266 0.1624
O: 0.7679 0.2862 0.8404
O: 0.7796 0.7748 0.8390
O: 0.9174 0.2689 0.3716
O: 0.9212 0.5812 0.3710
O: 0.9609 0.4696 0.1524
O: 0.9757 0.9768 0.5882

Largest 10 diffraction maxima, sorted by position, 2θ from 10° to 80°:
16.58 deg, I = 71
19.55 deg, I = 100
19.87 deg, I = 54
19.97 deg, I = 55
20.07 deg, I = 54
23.25 deg, I = 83
23.51 deg, I = 81
28.21 deg, I = 50
34.34 deg, I = 67
34.52 deg, I = 59

---

Entry 5:
Diffraction record for K3FeMo4O15. The powder XRD pattern is computed, not measured: it uses a crystal structure in the Materials Project, relaxed with GGA+U and Cu Kα, 1.54184 Å.
Neutral-atom scattering factors, no anomalous dispersion.

Cell and atoms:
Cell lengths 17.3038, 17.3038, 8.1833 Å; angles 92.63, 92.63, 19.46 degrees
Positions (direct):
K: 0.0159 0.0159 0.2756
K: 0.1032 0.1032 0.7339
K: 0.3145 0.3145 0.0263
K: 0.6855 0.6855 0.9737
K: 0.8968 0.8968 0.2661
K: 0.9841 0.9841 0.7244
Fe: 0.3186 0.3186 0.5202
Fe: 0.6814 0.6814 0.4798
Mo: 0.1495 0.1495 0.2335
Mo: 0.2200 0.2200 0.6845
Mo: 0.4294 0.4294 0.5461
Mo: 0.4405 0.4405 0.0114
Mo: 0.5595 0.5595 0.9886
Mo: 0.5706 0.5706 0.4539
Mo: 0.7800 0.7800 0.3155
Mo: 0.8505 0.8505 0.7665
O: 0.0652 0.5565 0.3433
O: 0.0844 0.5659 0.6941
O: 0.1013 0.1013 0.3026
O: 0.1479 0.1479 0.0176
O: 0.2108 0.6915 0.4604
O: 0.2192 0.7086 0.0926
O: 0.2394 0.2394 0.8857
O: 0.2593 0.2593 0.5469
O: 0.2914 0.7808 0.9074
O: 0.3085 0.7892 0.5396
O: 0.3776 0.3776 0.4896
O: 0.3923 0.3923 0.0793
O: 0.4341 0.9156 0.3059
O: 0.4429 0.4429 0.7735
O: 0.4435 0.9348 0.6567
O: 0.5565 0.0652 0.3433
O: 0.5571 0.5571 0.2265
O: 0.5659 0.0844 0.6941
O: 0.6077 0.6077 0.9207
O: 0.6224 0.6224 0.5104
O: 0.6915 0.2108 0.4604
O: 0.7086 0.2192 0.0926
O: 0.7407 0.7407 0.4531
O: 0.7606 0.7606 0.1143
O: 0.7808 0.2914 0.9074
O: 0.7892 0.3085 0.5396
O: 0.8521 0.8521 0.9824
O: 0.8987 0.8987 0.6974
O: 0.9156 0.4341 0.3059
O: 0.9348 0.4435 0.6567

Largest 10 diffraction maxima, sorted by position, 2θ from 10° to 80°:
11.79 deg, I = 23
20.86 deg, I = 23
22.50 deg, I = 28
23.09 deg, I = 36
23.78 deg, I = 36
26.63 deg, I = 20
26.84 deg, I = 100
28.07 deg, I = 45
29.58 deg, I = 18
30.57 deg, I = 55

---

Entry 6:
Diffraction record for KFe2Mo2O10. The powder XRD pattern is computed, not measured: it uses a crystal structure in the Materials Project, relaxed with GGA+U and Cu Kα, 1.54184 Å.
Neutral-atom scattering factors, no anomalous dispersion.

Cell and atoms:
Cell lengths 5.8826, 5.8826, 8.5610 Å; angles 111.41, 111.41, 61.36 degrees
Positions (direct):
K: 0.0000 0.0000 0.0000
Fe: 0.0000 0.5000 0.5000
Fe: 0.5000 0.0000 0.5000
Mo: 0.4295 0.4295 0.2439
Mo: 0.5705 0.5705 0.7561
O: 0.1926 0.1926 0.5839
O: 0.2145 0.6929 0.7160
O: 0.3073 0.3073 0.0272
O: 0.3071 0.7855 0.2840
O: 0.3262 0.3262 0.3836
O: 0.6738 0.6738 0.6164
O: 0.6929 0.2145 0.7160
O: 0.6927 0.6927 0.9728
O: 0.7855 0.3071 0.2840
O: 0.8074 0.8074 0.4161

Largest 10 diffraction maxima, sorted by position, 2θ from 10° to 80°:
11.42 deg, I = 65
17.66 deg, I = 100
18.69 deg, I = 50
22.92 deg, I = 90
25.56 deg, I = 89
26.47 deg, I = 75
30.41 deg, I = 72
32.28 deg, I = 47
34.91 deg, I = 54
50.66 deg, I = 48

---

Entry 7:
Diffraction record for K2NaFeO3. The powder XRD pattern is computed, not measured: it uses a crystal structure in the Materials Project, relaxed with GGA+U and Cu Kα, 1.54184 Å.
Neutral-atom scattering factors, no anomalous dispersion.

Cell and atoms:
Cell lengths 6.4051, 6.4051, 6.7466 Å; angles 90.00, 90.00, 120.60 degrees
Positions (direct):
K: 0.2500 0.2500 0.5000
K: 0.2500 0.7500 0.8421
K: 0.7500 0.2500 0.1579
K: 0.7500 0.7500 0.5000
Na: 0.2500 0.2500 0.0000
Na: 0.7500 0.7500 0.0000
Fe: 0.2500 0.7500 0.3342
Fe: 0.7500 0.2500 0.6658
O: 0.0000 0.5000 0.5000
O: 0.1068 0.8932 0.1857
O: 0.3932 0.6068 0.1857
O: 0.5000 0.0000 0.5000
O: 0.6068 0.3932 0.8143
O: 0.8932 0.1068 0.8143

Largest 10 diffraction maxima, sorted by position, 2θ from 10° to 80°:
15.93 deg, I = 30
20.81 deg, I = 43
31.00 deg, I = 47
31.09 deg, I = 71
32.18 deg, I = 60
32.48 deg, I = 100
38.77 deg, I = 73
38.97 deg, I = 66
51.40 deg, I = 28
57.08 deg, I = 37